Starting from a cell relaxed with PBE+U, the XRD peak list of K2MnV4O12 was computed for λ = 1.5418 Å (Cu Kα).

a b c (Å): 8.4178 9.5566 9.8647
angles (deg): 90.00 123.84 90.00
Element x y z (fractional)
K 0.2269 0.2109 0.0955
K 0.2269 0.2891 0.5955
K 0.7731 0.7109 0.4045
K 0.7731 0.7891 0.9045
Mn 0.5000 0.0000 0.5000
Mn 0.5000 0.5000 0.0000
V 0.0442 0.5576 0.2521
V 0.0442 0.9424 0.7521
V 0.2911 0.7260 0.6323
V 0.2911 0.7740 0.1323
V 0.7089 0.2260 0.8677
V 0.7089 0.2740 0.3677
V 0.9558 0.0576 0.2479
V 0.9558 0.4424 0.7479
O 0.1104 0.1056 0.7514
O 0.1104 0.3944 0.2514
O 0.1275 0.6740 0.1577
O 0.1275 0.8260 0.6577
O 0.1472 0.6042 0.4664
O 0.1472 0.8958 0.9664
O 0.1977 0.0692 0.3533
O 0.1977 0.4308 0.8533
O 0.4262 0.6672 0.1002
O 0.4262 0.8328 0.6002
O 0.4439 0.6360 0.8047
O 0.4439 0.8640 0.3047
O 0.5561 0.1360 0.6953
O 0.5561 0.3640 0.1953
O 0.5738 0.1672 0.3998
O 0.5738 0.3328 0.8998
O 0.8023 0.5692 0.1467
O 0.8023 0.9308 0.6467
O 0.8528 0.1042 0.0336
O 0.8528 0.3958 0.5336
O 0.8725 0.1740 0.3423
O 0.8725 0.3260 0.8423
O 0.8896 0.6056 0.7486
O 0.8896 0.8944 0.2486

Largest 10 diffraction maxima, low angle first, 2θ = 5–70°:
2θ = 14.5°, rel. 19.3
2θ = 15.7°, rel. 12.0
2θ = 21.7°, rel. 15.5
2θ = 23.3°, rel. 36.0
2θ = 26.0°, rel. 100.0
2θ = 30.8°, rel. 27.3
2θ = 31.7°, rel. 30.2
2θ = 31.9°, rel. 12.6
2θ = 44.5°, rel. 11.7
2θ = 48.3°, rel. 14.0

Starting from a cell relaxed with PBE+U, the XRD peak list of Na2Te3Mo3O16 was computed for λ = 1.5418 Å (Cu Kα).

a b c (Å): 7.7962 7.7962 7.4909
angles (deg): 114.59 114.59 95.40
Element x y z (fractional)
Na 0.0000 0.0000 0.0000
Na 0.5843 0.4157 0.5000
Te 0.1252 0.4333 0.4987
Te 0.5037 0.4963 0.0000
Te 0.5667 0.8748 0.5013
Mo 0.0311 0.5151 0.0262
Mo 0.0977 0.9023 0.5000
Mo 0.4849 0.9689 0.9738
O 0.0568 0.0502 0.3702
O 0.1512 0.3763 0.2432
O 0.2210 0.7222 0.6612
O 0.2280 0.4439 0.9294
O 0.2778 0.7790 0.3388
O 0.3479 0.0410 0.1126
O 0.3624 0.0737 0.7638
O 0.3865 0.4174 0.6612
O 0.5561 0.7720 0.0706
O 0.5826 0.6135 0.3388
O 0.6237 0.8488 0.7568
O 0.7046 0.1738 0.1653
O 0.8262 0.2954 0.8347
O 0.9263 0.6376 0.2362
O 0.9498 0.9432 0.6298
O 0.9590 0.6521 0.8874

Largest 10 diffraction maxima, low angle first, 2θ = 5–70°:
2θ = 13.2°, rel. 39.6
2θ = 14.2°, rel. 48.0
2θ = 23.0°, rel. 74.5
2θ = 26.6°, rel. 100.0
2θ = 28.6°, rel. 92.8
2θ = 30.4°, rel. 41.4
2θ = 34.6°, rel. 48.7
2θ = 43.9°, rel. 32.2
2θ = 48.4°, rel. 23.5
2θ = 50.6°, rel. 25.0

Starting from a cell relaxed with PBE+U, the XRD peak list of Fe5O7F3 was computed for λ = 1.5418 Å (Cu Kα).

a b c (Å): 4.6746 4.6767 15.2233
angles (deg): 89.97 89.88 88.41
Element x y z (fractional)
Fe 0.0000 0.0000 0.0000
Fe 0.0045 0.9888 0.1945
Fe 0.0214 0.9871 0.5864
Fe 0.4533 0.4846 0.6989
Fe 0.4664 0.4567 0.0934
Fe 0.4819 0.4654 0.2931
Fe 0.4876 0.4638 0.4934
Fe 0.5010 0.4361 0.8881
Fe 0.9564 0.9387 0.3923
Fe 0.9795 0.9626 0.7934
O 0.1660 0.7933 0.6931
O 0.1724 0.7707 0.2929
O 0.1788 0.7636 0.4896
O 0.1858 0.7831 0.0968
O 0.2819 0.2650 0.7933
O 0.2984 0.2867 0.1970
O 0.3021 0.2919 0.5923
O 0.3068 0.2786 0.9919
O 0.6611 0.6403 0.3925
O 0.6802 0.6630 0.7937
O 0.7875 0.1564 0.2930
O 0.7881 0.1587 0.4911
O 0.7950 0.1740 0.0985
O 0.8067 0.1464 0.8934
F 0.1924 0.7631 0.8970
F 0.2803 0.2577 0.3927
F 0.6833 0.6707 0.1930
F 0.6828 0.6796 0.5950
F 0.6933 0.6652 0.9931
F 0.7841 0.1794 0.6897

Largest 10 diffraction maxima, low angle first, 2θ = 5–70°:
2θ = 26.6°, rel. 95.5
2θ = 27.4°, rel. 93.7
2θ = 35.2°, rel. 100.0
2θ = 38.5°, rel. 17.4
2θ = 40.0°, rel. 15.9
2θ = 52.7°, rel. 41.8
2θ = 53.6°, rel. 53.6
2θ = 54.8°, rel. 15.3
2θ = 60.8°, rel. 15.9
2θ = 67.5°, rel. 33.5

Starting from a cell relaxed with PBE+U, the XRD peak list of MnFe2P2O18 was computed for λ = 1.5418 Å (Cu Kα).

a b c (Å): 5.3397 7.0341 9.8162
angles (deg): 96.38 101.49 109.56
Element x y z (fractional)
Mn 0.0000 0.0000 0.0000
Fe 0.5000 0.0000 0.5000
Fe 0.5000 0.5000 0.5000
P 0.0049 0.9071 0.6797
P 0.9951 0.0929 0.3203
O 0.1036 0.9000 0.8390
O 0.1428 0.3184 0.4040
O 0.1668 0.2753 0.9815
O 0.1716 0.4588 0.7417
O 0.1965 0.9742 0.3307
O 0.2513 0.0188 0.6247
O 0.2635 0.9234 0.1134
O 0.3752 0.7091 0.4898
O 0.3990 0.4670 0.7280
O 0.6010 0.5330 0.2720
O 0.6248 0.2909 0.5102
O 0.7365 0.0766 0.8866
O 0.7487 0.9812 0.3753
O 0.8035 0.0258 0.6693
O 0.8284 0.5412 0.2583
O 0.8332 0.7247 0.0185
O 0.8572 0.6816 0.5960
O 0.8964 0.1000 0.1610

Largest 10 diffraction maxima, low angle first, 2θ = 5–70°:
2θ = 9.4°, rel. 100.0
2θ = 13.6°, rel. 60.4
2θ = 18.3°, rel. 35.9
2θ = 18.3°, rel. 37.9
2θ = 18.8°, rel. 18.6
2θ = 22.6°, rel. 39.7
2θ = 27.4°, rel. 39.5
2θ = 28.2°, rel. 21.2
2θ = 29.7°, rel. 46.1
2θ = 35.7°, rel. 17.8

Starting from a cell relaxed with PBE+U, the XRD peak list of BaPrFeCuO5 was computed for λ = 1.5418 Å (Cu Kα).

a b c (Å): 3.9602 3.9602 7.9872
angles (deg): 90.00 90.00 90.00
Element x y z (fractional)
Ba 0.0000 0.0000 0.0000
Pr 0.0000 0.0000 0.4706
Fe 0.5000 0.5000 0.7214
Cu 0.5000 0.5000 0.2487
O 0.0000 0.5000 0.2732
O 0.0000 0.5000 0.6572
O 0.5000 0.0000 0.2732
O 0.5000 0.0000 0.6572
O 0.5000 0.5000 0.9539

Largest 10 diffraction maxima, low angle first, 2θ = 5–70°:
2θ = 22.5°, rel. 13.0
2θ = 31.8°, rel. 100.0
2θ = 32.0°, rel. 42.2
2θ = 39.3°, rel. 16.3
2θ = 45.4°, rel. 9.8
2θ = 45.8°, rel. 28.3
2θ = 56.6°, rel. 18.8
2θ = 56.9°, rel. 37.4
2θ = 66.5°, rel. 12.0
2θ = 66.8°, rel. 8.4